For AuS5N5Cl4, the GGA-PBE geometry in OQMD gives the computed X-ray diffraction stick pattern in this record (Cu Kα, 1.54184 Å).
Kinematic intensities with the Lorentz-polarization factor, no thermal factor.

Principal peaks in the range 2θ from 10° to 90°, by intensity:
11.4 deg, I = 100, (0 1 1); 34.8 deg, I = 95, (1 3 2); 22.2 deg, I = 83, (1 0 -2); 17.6 deg, I = 74, (0 0 2); 20.3 deg, I = 70, (1 0 1); 19.1 deg, I = 64, (1 1 -1); 14.7 deg, I = 57, (0 2 0); 18.4 deg, I = 48, (1 1 0); 26.8 deg, I = 46, (1 2 -2); 29.9 deg, I = 46, (1 1 -3); 23.9 deg, I = 45, (0 3 1); 28.0 deg, I = 43, (1 3 0)

Atomic structure:
```
data_AuS5N5Cl4
_symmetry_space_group_name_H-M 'P 1 21/m 1'
_symmetry_Int_Tables_number 11
_cell_length_a 5.354
_cell_length_b 12.025
_cell_length_c 10.244
_cell_angle_alpha 90.00
_cell_angle_beta 99.67
_cell_angle_gamma 90.00
loop_
_symmetry_equiv_pos_as_xyz
'x,y,z'
'-x,-y,-z'
'-x,y+1/2,-z'
'x,-y+1/2,z'
loop_
_atom_site_label
_atom_site_type_symbol
_atom_site_fract_x
_atom_site_fract_y
_atom_site_fract_z
Au1 Au 0.155 0.250 0.296
S1 S 0.074 0.629 0.352
S2 S 0.336 0.250 0.965
S3 S 0.416 0.562 0.169
N1 N 0.006 0.250 0.611
N2 N 0.256 0.638 0.247
N3 N 0.424 0.134 0.915
Cl1 Cl 0.074 0.614 0.831
Cl2 Cl 0.388 0.113 0.421
```